Record 1
This entry pairs a crystal structure of BaNa2Sr2Ca with its calculated XRD peak list. Radiation: Cu Kα (λ = 1.5418 Å). Structure: a GGA-PBE-relaxed structure.

Largest 10 diffraction maxima, by angle, 2θ = 10–90°:
17.9 deg, intensity 30
23.8 deg, intensity 24
26.1 deg, intensity 100
26.7 deg, intensity 57
27.1 deg, intensity 50
27.3 deg, intensity 42
27.8 deg, intensity 53
32.0 deg, intensity 49
42.7 deg, intensity 21
43.2 deg, intensity 23

Cell and atoms:
```
BaNa2Sr2Ca
1.0
7.5404 0.0000 0.0000
0.0000 8.0661 0.0000
-1.4316 0.0000 9.8872
Ba Na Sr Ca
2 4 4 2
direct
0.1947 0.2500 0.1896 Ba
0.8053 0.7500 0.8104 Ba
0.0168 0.7500 0.4755 Na
0.4717 0.7500 0.4736 Na
0.5283 0.2500 0.5264 Na
0.9832 0.2500 0.5245 Na
0.3104 0.0039 0.8154 Sr
0.3104 0.4961 0.8154 Sr
0.6896 0.5039 0.1846 Sr
0.6896 0.9961 0.1846 Sr
0.1789 0.7500 0.1350 Ca
0.8211 0.2500 0.8650 Ca
```

---

Record 2
This entry pairs a crystal structure of Ba8Ca3Nb5O24 with its calculated XRD peak list. Radiation: Cu Kα (λ = 1.5418 Å). Structure: a GGA-PBE-relaxed structure.

Largest 10 diffraction maxima, by angle, 2θ = 10–90°:
29.5 deg, intensity 100
29.8 deg, intensity 49
36.5 deg, intensity 17
41.9 deg, intensity 16
42.6 deg, intensity 32
52.2 deg, intensity 20
52.7 deg, intensity 39
61.3 deg, intensity 19
84.5 deg, intensity 10
85.1 deg, intensity 10

Cell and atoms:
```
Ba8Ca3Nb5O24
1.0
-4.2442 4.2442 8.6312
4.2442 -4.2442 8.6312
4.2442 4.2442 -8.6312
Ba Ca Nb O
8 3 5 24
direct
0.1208 0.1208 0.4915 Ba
0.1208 0.6293 0.0000 Ba
0.3707 0.3707 0.4915 Ba
0.3707 0.8792 0.0000 Ba
0.6293 0.1208 0.0000 Ba
0.6293 0.6293 0.5085 Ba
0.8792 0.3707 0.0000 Ba
0.8792 0.8792 0.5085 Ba
0.2500 0.7500 0.5000 Ca
0.5000 0.5000 0.0000 Ca
0.7500 0.2500 0.5000 Ca
0.0000 0.0000 0.0000 Nb
0.0000 0.5000 0.5000 Nb
0.2541 0.2541 0.0000 Nb
0.5000 0.0000 0.5000 Nb
0.7459 0.7459 0.0000 Nb
0.0000 0.2449 0.2449 O
0.0000 0.7551 0.7551 O
0.0071 0.2393 0.7677 O
0.1147 0.1147 0.0000 O
0.1152 0.6152 0.5000 O
0.2320 0.5000 0.7320 O
0.2393 0.0071 0.7677 O
0.2393 0.4716 0.2323 O
0.2449 0.0000 0.2449 O
0.3648 0.3648 0.0000 O
0.3848 0.8848 0.5000 O
0.4716 0.2393 0.2323 O
0.5000 0.2320 0.7320 O
0.5000 0.7680 0.2680 O
0.5284 0.7607 0.7677 O
0.6152 0.1152 0.5000 O
0.6352 0.6352 0.0000 O
0.7551 0.0000 0.7551 O
0.7607 0.5284 0.7677 O
0.7607 0.9929 0.2323 O
0.7680 0.5000 0.2680 O
0.8848 0.3848 0.5000 O
0.8853 0.8853 0.0000 O
0.9929 0.7607 0.2323 O
```

---

Record 3
This entry pairs a crystal structure of BaCaYNbO6 with its calculated XRD peak list. Radiation: Cu Kα (λ = 1.5418 Å). Structure: a GGA-PBE-relaxed structure.

Largest 10 diffraction maxima, by angle, 2θ = 10–90°:
18.1 deg, intensity 16
29.8 deg, intensity 100
35.1 deg, intensity 10
42.7 deg, intensity 35
46.7 deg, intensity 4
52.9 deg, intensity 39
62.0 deg, intensity 21
70.3 deg, intensity 17
78.2 deg, intensity 7
85.8 deg, intensity 20

Cell and atoms:
```
BaCaYNbO6
1.0
0.0000 4.2365 4.2365
4.2365 0.0000 4.2365
4.2365 4.2365 0.0000
Ba Ca Y Nb O
1 1 1 1 6
direct
0.0000 0.0000 0.0000 Ba
0.5000 0.5000 0.5000 Ca
0.7500 0.7500 0.7500 Y
0.2500 0.2500 0.2500 Nb
0.0126 0.0126 0.4874 O
0.0126 0.4874 0.0126 O
0.0126 0.4874 0.4874 O
0.4874 0.0126 0.0126 O
0.4874 0.0126 0.4874 O
0.4874 0.4874 0.0126 O
```

---

Record 4
This entry pairs a crystal structure of BaCaNbSn2 with its calculated XRD peak list. Radiation: Cu Kα (λ = 1.5418 Å). Structure: a GGA-PBE-relaxed structure.

Largest 10 diffraction maxima, by angle, 2θ = 10–90°:
16.2 deg, intensity 24
22.9 deg, intensity 56
28.1 deg, intensity 100
32.5 deg, intensity 88
32.8 deg, intensity 43
40.2 deg, intensity 26
46.7 deg, intensity 32
46.9 deg, intensity 63
55.4 deg, intensity 31
58.2 deg, intensity 33

Cell and atoms:
```
BaCaNbSn2
1.0
5.5061 0.0000 0.0000
0.0000 5.5061 0.0000
0.0000 0.0000 5.4623
Ba Ca Nb Sn
1 1 1 2
direct
0.0000 0.0000 0.0000 Ba
0.5000 0.5000 0.0000 Ca
0.5000 0.5000 0.5000 Nb
0.0000 0.5000 0.5000 Sn
0.5000 0.0000 0.5000 Sn
```